# 1
The following is a simulated powder diffraction line list of HfBr3. It was derived from the GGA-PBE geometry in the Materials Project, using Cu Ka.
Kinematic intensities with the Lorentz-polarization factor, no thermal factor.

The 10 most intense peaks (2θ from 5° to 70°), in order of rising 2θ:
2θ = 9.84°, I 100; 2θ = 17.09°, I 47; 2θ = 19.76°, I 42; 2θ = 32.93°, I 52; 2θ = 36.04°, I 17; 2θ = 37.33°, I 30; 2θ = 40.03°, I 18; 2θ = 45.02°, I 35; 2θ = 52.95°, I 16; 2θ = 63.78°, I 15

Atomic structure:
```
HfBr3
1.0
10.3752 0.0000 0.0000
-5.1876 8.9852 0.0000
0.0000 0.0000 3.4178
Hf Br
2 6
Direct
0.3333 0.6667 0.2500 Hf
0.6667 0.3333 0.7500 Hf
0.2184 0.4369 0.7500 Br
0.2184 0.7816 0.7500 Br
0.4369 0.2184 0.2500 Br
0.5631 0.7816 0.7500 Br
0.7816 0.2184 0.2500 Br
0.7816 0.5631 0.2500 Br
```

---

# 2
The following is a simulated powder diffraction line list of Hf3C. It was derived from the GGA-PBE geometry in the Materials Project, using Cu Ka.
Kinematic intensities with the Lorentz-polarization factor, no thermal factor.

The 10 most intense peaks (2θ from 5° to 70°), in order of rising 2θ:
2θ = 19.47°, I 12; 2θ = 24.67°, I 28; 2θ = 32.22°, I 7; 2θ = 37.40°, I 10; 2θ = 37.92°, I 100; 2θ = 39.53°, I 22; 2θ = 46.20°, I 29; 2θ = 53.07°, I 7; 2θ = 62.39°, I 23; 2θ = 67.41°, I 9

Atomic structure:
```
Hf3C
1.0
-1.9648 1.9648 4.5596
1.9648 -1.9648 4.5596
1.9648 1.9648 -4.5596
Hf C
3 1
Direct
0.0000 0.0000 0.0000 Hf
0.2500 0.7500 0.5000 Hf
0.7500 0.2500 0.5000 Hf
0.5000 0.5000 0.0000 C
```